Starting from DFT lattice parameters and positions (GGA-PBE), the powder X-ray diffraction pattern of Pm4Nd3Au4 was calculated for CuKα.
Lines closer than 0.1° are merged.

Peak list (12 most intense, 10 to 90 degrees two-theta, sorted by position)
| hkl | 2θ/deg | Rel. int. |
| --- | --- | --- |
| 0 1 3 | 19.97 | 141 |
| 1 2 1 | 29.64 | 1000 |
| 0 1 5 | 29.78 | 260 |
| 1 1 4 | 30.61 | 418 |
| 0 0 6 | 33.05 | 175 |
| 1 2 3 | 33.58 | 183 |
| 2 0 0 | 36.00 | 458 |
| 1 2 5 | 40.43 | 317 |
| 1 3 2 | 40.77 | 262 |
| 0 3 5 | 44.71 | 149 |
| 2 1 5 | 47.39 | 145 |
| 3 2 1 | 60.83 | 223 |

```
data_Pm4Nd3Au4
_chemical_formula_sum 'Pm8 Nd6 Au8'
_symmetry_space_group_name_H-M 'I m m m'
_symmetry_Int_Tables_number 71
_symmetry_space_group_name_Hall '-I 2 2'
_cell_length_a 4.990
_cell_length_b 7.776
_cell_length_c 16.261
_cell_angle_alpha 90.00
_cell_angle_beta 90.00
_cell_angle_gamma 90.00
loop_
_atom_site_label
_atom_site_fract_x
_atom_site_fract_y
_atom_site_fract_z
Pm1 0.000 0.219 0.172
Nd1 0.000 0.000 0.400
Nd2 0.000 0.500 0.500
Au1 0.000 0.312 0.000
Au2 0.000 0.500 0.300
```

***

Starting from DFT lattice parameters and positions (GGA-PBE), the powder X-ray diffraction pattern of Ca7MnN6 was calculated for CuKα.
Lines closer than 0.1° are merged.

Peak list (12 most intense, 10 to 90 degrees two-theta, sorted by position)
| hkl | 2θ/deg | Rel. int. |
| --- | --- | --- |
| 2 0 2 | 21.31 | 195 |
| 1 2 1 | 30.49 | 224 |
| 0 2 2 | 31.74 | 163 |
| 2 0 4 | 32.11 | 1000 |
| 4 0 0 | 32.81 | 281 |
| 2 2 2 | 35.85 | 380 |
| 1 2 3 | 36.37 | 228 |
| 4 1 1 | 36.57 | 362 |
| 3 2 1 | 38.52 | 216 |
| 3 2 3 | 43.50 | 149 |
| 4 2 2 | 46.25 | 306 |
| 0 0 8 | 56.81 | 195 |

```
data_Ca7MnN6
_chemical_formula_sum 'Ca28 Mn4 N24'
_symmetry_space_group_name_H-M 'P b c n'
_symmetry_Int_Tables_number 60
_cell_length_a 10.919
_cell_length_b 6.262
_cell_length_c 12.969
_cell_angle_alpha 90.00
_cell_angle_beta 90.00
_cell_angle_gamma 90.00
loop_
_symmetry_equiv_pos_as_xyz
'x,y,z'
'-x,-y,-z'
'-x+1/2,-y+1/2,z+1/2'
'x+1/2,y+1/2,-z+1/2'
'x+1/2,-y+1/2,-z'
'-x+1/2,y+1/2,z'
'-x,y,-z+1/2'
'x,-y,z+1/2'
loop_
_atom_site_label
_atom_site_fract_x
_atom_site_fract_y
_atom_site_fract_z
Ca1 0.000 0.056 0.250
Ca2 0.038 0.230 0.522
Ca3 0.205 0.389 0.122
Ca4 0.229 0.354 0.874
Mn1 0.000 0.438 0.750
N1 0.054 0.383 0.353
N2 0.126 0.261 0.708
N3 0.167 0.093 0.997
```